Starting from a structure optimized by DFT (GGA-PBE), the X-ray powder pattern of TbURu was simulated for copper Kα.
Neutral-atom scattering factors, no anomalous dispersion.

Crystal structure
abc: 3.485 3.485 10.899
angles: 90.00 90.00 90.00
Atoms (fractional coordinates):
Tb  0.000  0.000  0.000
Tb  0.500  0.500  0.500
U  0.000  0.000  0.700
U  0.500  0.500  0.200
Ru  0.000  0.000  0.302
Ru  0.500  0.500  0.802

Main lines, in order of rising 2θ (2θ = 10–80°):
Position (°2θ), d (Å), I/Imax
26.86, 3.319, 184
35.70, 2.515, 1000
36.46, 2.464, 601
52.52, 1.742, 213
65.13, 1.432, 355
65.68, 1.422, 169



Starting from a structure optimized by DFT (GGA-PBE), the X-ray powder pattern of PmBi2Pb2 was simulated for copper Kα.
Neutral-atom scattering factors, no anomalous dispersion.

Crystal structure
abc: 14.279 14.279 4.734
angles: 90.00 90.00 161.10
Atoms (fractional coordinates):
Pm  0.158  0.842  0.750
Pm  0.842  0.158  0.250
Bi  0.250  0.750  0.250
Bi  0.359  0.641  0.750
Bi  0.641  0.359  0.250
Bi  0.750  0.250  0.750
Pb  0.050  0.950  0.250
Pb  0.450  0.550  0.250
Pb  0.550  0.450  0.750
Pb  0.950  0.050  0.750

Main lines, in order of rising 2θ (2θ = 10–80°):
Position (°2θ), d (Å), I/Imax
31.19, 2.868, 1000
31.77, 2.817, 221
38.01, 2.367, 153
38.39, 2.345, 149
56.23, 1.636, 159
65.00, 1.435, 245



Starting from a structure optimized by DFT (GGA-PBE), the X-ray powder pattern of Ac3Pd8Pb3 was simulated for copper Kα.
Neutral-atom scattering factors, no anomalous dispersion.

Crystal structure
abc: 8.816 8.816 8.816
angles: 148.01 113.63 75.58
Atoms (fractional coordinates):
Ac  0.000  0.000  0.000
Ac  0.290  0.290  0.000
Ac  0.710  0.710  0.000
Pd  0.034  0.678  0.357
Pd  0.143  0.869  0.274
Pd  0.321  0.678  0.643
Pd  0.404  0.131  0.274
Pd  0.596  0.869  0.726
Pd  0.679  0.322  0.357
Pd  0.857  0.131  0.726
Pd  0.966  0.322  0.643
Pb  0.269  0.500  0.769
Pb  0.500  0.000  0.500
Pb  0.731  0.500  0.231

Main lines, in order of rising 2θ (2θ = 10–80°):
Position (°2θ), d (Å), I/Imax
26.81, 3.325, 196
32.49, 2.756, 1000
33.41, 2.682, 214
35.87, 2.503, 250
37.01, 2.429, 445
37.22, 2.415, 322



Starting from a structure optimized by DFT (GGA-PBE), the X-ray powder pattern of U2Al3C4 was simulated for copper Kα.
Neutral-atom scattering factors, no anomalous dispersion.

Crystal structure
abc: 3.401 3.401 23.327
angles: 90.00 90.00 120.00
Atoms (fractional coordinates):
U  0.333  0.667  0.062
U  0.333  0.667  0.438
U  0.667  0.333  0.562
U  0.667  0.333  0.938
Al  0.000  0.000  0.163
Al  0.000  0.000  0.337
Al  0.000  0.000  0.663
Al  0.000  0.000  0.837
Al  0.333  0.667  0.750
Al  0.667  0.333  0.250
C  0.000  0.000  0.000
C  0.000  0.000  0.250
C  0.000  0.000  0.500
C  0.000  0.000  0.750
C  0.333  0.667  0.634
C  0.333  0.667  0.866
C  0.667  0.333  0.134
C  0.667  0.333  0.366

Main lines, in order of rising 2θ (2θ = 10–80°):
Position (°2θ), d (Å), I/Imax
30.64, 2.918, 325
31.33, 2.855, 228
32.51, 2.754, 1000
36.06, 2.490, 685
38.34, 2.348, 229
53.92, 1.700, 281